[1]
This entry pairs a crystal structure of LiAu4Se4Cl4O12 with its theoretical PXRD pattern. Radiation: Cu Ka. Structure: a crystal structure in the Materials Project, relaxed with PBE.

Most intense lines, 10 to 90 degrees two-theta, sorted by position:
12.2 deg, d = 7.271 Å, intensity 64; 17.7 deg, d = 5.007 Å, intensity 54; 18.7 deg, d = 4.745 Å, intensity 43; 19.6 deg, d = 4.519 Å, intensity 100; 21.5 deg, d = 4.139 Å, intensity 41; 25.5 deg, d = 3.490 Å, intensity 42; 26.2 deg, d = 3.405 Å, intensity 42; 27.3 deg, d = 3.271 Å, intensity 50; 27.4 deg, d = 3.258 Å, intensity 47; 32.0 deg, d = 2.799 Å, intensity 52

Structural model:
Lattice parameters (Å, degrees): 4.5315 10.2130 11.1280 86.22 87.90 86.23
Space group P1 (No. 1)
Inequivalent atoms, fractional coordinates:
Li  0.0000  0.0000  0.0000
Au  0.7848  0.7915  0.1470
Au  0.8076  0.9745  0.5089
Au  0.8155  0.3645  0.8442
Au  0.8284  0.3855  0.3411
Se  0.0157  0.6754  0.4218
Se  0.1029  0.2465  0.5901
Se  0.5255  0.4991  0.0852
Se  0.6239  0.1129  0.2390
Cl  0.1228  0.9020  0.6593
Cl  0.1550  0.1836  0.8775
Cl  0.4911  0.5449  0.8103
Cl  0.4940  0.8785  0.9787
O  0.1092  0.7303  0.2769
O  0.1687  0.3391  0.4560
O  0.4795  0.4231  0.2300
O  0.5139  0.0374  0.3759
O  0.7153  0.3591  0.0235
O  0.7326  0.7907  0.4662
O  0.7372  0.5651  0.4070
O  0.7884  0.1641  0.5593
O  0.8266  0.5903  0.0986
O  0.8688  0.9978  0.1715
O  0.9096  0.3744  0.6633
O  0.9174  0.2060  0.2743

=====

[2]
This entry pairs a crystal structure of LiAu4Se4Cl4O12 with its theoretical PXRD pattern. Radiation: Cu Ka. Structure: a crystal structure in the Materials Project, relaxed with PBE.

Most intense lines, 10 to 90 degrees two-theta, sorted by position:
13.0 deg, d = 6.829 Å, intensity 30; 17.3 deg, d = 5.125 Å, intensity 31; 17.8 deg, d = 4.992 Å, intensity 29; 19.8 deg, d = 4.476 Å, intensity 100; 26.2 deg, d = 3.399 Å, intensity 34; 26.7 deg, d = 3.337 Å, intensity 32; 27.5 deg, d = 3.241 Å, intensity 45; 27.6 deg, d = 3.227 Å, intensity 32; 29.2 deg, d = 3.063 Å, intensity 28; 34.6 deg, d = 2.590 Å, intensity 25

Structural model:
Lattice parameters (Å, degrees): 4.4847 10.1339 11.0005 99.11 90.44 93.69
Space group P1 (No. 1)
Inequivalent atoms, fractional coordinates:
Li  0.0000  0.0000  0.0000
Au  0.9569  0.2036  0.3465
Au  0.9596  0.0553  0.7356
Au  0.9856  0.6297  0.5370
Au  0.9900  0.6248  0.0388
Se  0.1771  0.9251  0.4514
Se  0.2510  0.4898  0.2700
Se  0.7018  0.7531  0.8123
Se  0.7626  0.3400  0.6275
Cl  0.2526  0.4374  0.9837
Cl  0.2711  0.1245  0.1846
Cl  0.6535  0.1321  0.9028
Cl  0.7374  0.8205  0.0971
O  0.0240  0.2356  0.6714
O  0.0531  0.4571  0.6068
O  0.0555  0.6183  0.2198
O  0.2712  0.9898  0.6037
O  0.3232  0.5751  0.4178
O  0.6511  0.2691  0.4779
O  0.6535  0.6871  0.6592
O  0.8988  0.0232  0.4074
O  0.9034  0.7980  0.4633
O  0.9261  0.6318  0.8561
O  0.9326  0.3852  0.2858
O  0.9906  0.8830  0.8206

=====

[3]
This entry pairs a crystal structure of LiAu4Se4Cl4O12 with its theoretical PXRD pattern. Radiation: Cu Ka. Structure: a crystal structure in the Materials Project, relaxed with PBE.

Most intense lines, 10 to 90 degrees two-theta, sorted by position:
12.8 deg, d = 6.896 Å, intensity 45; 17.6 deg, d = 5.050 Å, intensity 37; 18.8 deg, d = 4.731 Å, intensity 100; 19.7 deg, d = 4.507 Å, intensity 27; 20.1 deg, d = 4.423 Å, intensity 30; 25.4 deg, d = 3.508 Å, intensity 67; 26.9 deg, d = 3.319 Å, intensity 28; 29.5 deg, d = 3.030 Å, intensity 32; 33.1 deg, d = 2.706 Å, intensity 30; 35.6 deg, d = 2.524 Å, intensity 34

Structural model:
Lattice parameters (Å, degrees): 4.7411 10.1156 10.9213 97.68 92.82 91.91
Space group P1 (No. 1)
Inequivalent atoms, fractional coordinates:
Li  0.0000  0.0000  0.0000
Au  0.4235  0.8824  0.1684
Au  0.4307  0.4747  0.9897
Au  0.4339  0.4721  0.4893
Au  0.4540  0.0659  0.8149
Se  0.1639  0.3403  0.7209
Se  0.2900  0.7537  0.8763
Se  0.5769  0.2001  0.1075
Se  0.7064  0.6052  0.2590
Cl  0.0991  0.9845  0.6685
Cl  0.1625  0.2770  0.4337
Cl  0.7080  0.6662  0.5440
Cl  0.7743  0.9626  0.3161
O  0.0943  0.4299  0.8632
O  0.1355  0.8186  0.0149
O  0.3202  0.2974  0.0534
O  0.3282  0.0697  0.1193
O  0.3562  0.4729  0.6698
O  0.4105  0.6948  0.2225
O  0.4622  0.2534  0.7597
O  0.5097  0.4729  0.3087
O  0.5429  0.6520  0.9279
O  0.5456  0.8800  0.8639
O  0.7362  0.1369  0.9703
O  0.7694  0.5164  0.1156

=====

What did the second record say?
This entry pairs a crystal structure of LiAu4Se4Cl4O12 with its theoretical PXRD pattern. Radiation: Cu Ka. Structure: a crystal structure in the Materials Project, relaxed with PBE.

Most intense lines, 10 to 90 degrees two-theta, sorted by position:
13.0 deg, d = 6.829 Å, intensity 30; 17.3 deg, d = 5.125 Å, intensity 31; 17.8 deg, d = 4.992 Å, intensity 29; 19.8 deg, d = 4.476 Å, intensity 100; 26.2 deg, d = 3.399 Å, intensity 34; 26.7 deg, d = 3.337 Å, intensity 32; 27.5 deg, d = 3.241 Å, intensity 45; 27.6 deg, d = 3.227 Å, intensity 32; 29.2 deg, d = 3.063 Å, intensity 28; 34.6 deg, d = 2.590 Å, intensity 25

Structural model:
Lattice parameters (Å, degrees): 4.4847 10.1339 11.0005 99.11 90.44 93.69
Space group P1 (No. 1)
Inequivalent atoms, fractional coordinates:
Li  0.0000  0.0000  0.0000
Au  0.9569  0.2036  0.3465
Au  0.9596  0.0553  0.7356
Au  0.9856  0.6297  0.5370
Au  0.9900  0.6248  0.0388
Se  0.1771  0.9251  0.4514
Se  0.2510  0.4898  0.2700
Se  0.7018  0.7531  0.8123
Se  0.7626  0.3400  0.6275
Cl  0.2526  0.4374  0.9837
Cl  0.2711  0.1245  0.1846
Cl  0.6535  0.1321  0.9028
Cl  0.7374  0.8205  0.0971
O  0.0240  0.2356  0.6714
O  0.0531  0.4571  0.6068
O  0.0555  0.6183  0.2198
O  0.2712  0.9898  0.6037
O  0.3232  0.5751  0.4178
O  0.6511  0.2691  0.4779
O  0.6535  0.6871  0.6592
O  0.8988  0.0232  0.4074
O  0.9034  0.7980  0.4633
O  0.9261  0.6318  0.8561
O  0.9326  0.3852  0.2858
O  0.9906  0.8830  0.8206